HfTcSnWF: computed powder X-ray diffraction pattern (Cu Ka), based on a crystal structure in Alexandria, relaxed with PBE+U.

Crystal structure
```
data_HfTcSnWF
_chemical_formula_sum 'Hf1 Tc1 Sn1 W1 F1'
_space_group_name_H-M_alt 'P 1 m 1'
_space_group_IT_number 6
_cell_length_a 3.087
_cell_length_b 3.142
_cell_length_c 10.796
_cell_angle_alpha 90.00
_cell_angle_beta 97.88
_cell_angle_gamma 90.00
loop_
_space_group_symop_operation_xyz
'x,y,z'
'x,-y,z'
loop_
_atom_site_label
_atom_site_type_symbol
_atom_site_fract_x
_atom_site_fract_y
_atom_site_fract_z
Hf1 Hf 0.000 0.000 0.000
Tc1 Tc 0.580 0.500 0.167
Sn1 Sn 0.748 0.500 0.518
W1 W 0.147 0.000 0.307
F1 F 0.434 0.000 0.862
```

Peak list (10 most intense, 2θ from 10° to 90°, sorted by position)
- hkl 1 0 -1, 2θ 29.23, 3.055 Å, I 18
- hkl 0 1 1, 2θ 29.63, 3.015 Å, I 24
- hkl 0 1 2, 2θ 33.07, 2.709 Å, I 26
- hkl 1 0 2, 2θ 35.77, 2.510 Å, I 34
- hkl 1 0 -3, 2θ 35.98, 2.496 Å, I 36
- hkl 0 1 3, 2θ 38.18, 2.357 Å, I 79
- hkl 1 1 0, 2θ 41.21, 2.191 Å, I 100
- hkl 1 0 3, 2θ 41.46, 2.178 Å, I 25
- hkl 1 0 -4, 2θ 41.72, 2.165 Å, I 23
- hkl 0 0 6, 2θ 51.25, 1.783 Å, I 27